Simulated powder X-ray diffraction pattern of Ba3Mn2RuO9 for Cu Kα (λ = 1.5418 Å), from a cell relaxed with PBE+U.
Neutral-atom scattering factors, no anomalous dispersion.

Most intense lines, 10° ≤ 2θ ≤ 90°, by intensity:
| 2θ/deg | Rel. int. |
| --- | --- |
| 30.63 | 1000 |
| 26.93 | 743 |
| 41.23 | 437 |
| 52.23 | 217 |
| 63.78 | 193 |
| 54.46 | 192 |
| 39.26 | 163 |
| 33.68 | 158 |
| 23.95 | 156 |
| 45.09 | 151 |

Structure:
```
Ba3Mn2RuO9
1.0
2.9184 1.6850 7.3045
-2.9184 1.6850 7.3045
0.0000 -3.3699 7.3045
Ba Mn Ru O
3 2 1 9
Cartesian
0.0000 0.0000 0.0000 Ba
0.0000 0.0000 4.6162 Ba
0.0000 0.0000 17.0977 Ba
0.0000 0.0000 8.2461 Mn
0.0000 0.0000 10.7922 Mn
0.0000 0.0000 13.4233 Ru
-1.3070 -0.7546 12.0562 O
0.0000 -1.5203 9.6072 O
-1.3166 0.7602 9.6072 O
0.0000 -1.6696 14.4284 O
-1.4459 0.8348 14.4284 O
1.3070 -0.7546 12.0562 O
0.0000 1.5091 12.0562 O
1.3166 0.7602 9.6072 O
1.4459 0.8348 14.4284 O
```